1.
Structure and simulated powder diffraction line list of La2Pm3Ho7 (DFT lattice parameters and positions (GGA-PBE); Cu Ka).
Kinematic intensities with the Lorentz-polarization factor, no thermal factor.

Largest 6 diffraction maxima, low angle first, 15 to 90 degrees two-theta:
two_theta, I_rel
30.41, 29
30.67, 34
30.94, 100
31.40, 33
32.91, 34
34.39, 28

Crystal structure
```
La2Pm3Ho7
1.0
5.859 0.000 0.000
0.000 3.595 0.000
-1.054 0.000 18.974
La Pm Ho
2 3 7
Direct
0.207 0.000 0.292
0.793 0.000 0.708
0.000 0.000 0.000
0.278 0.500 0.629
0.722 0.500 0.371
0.188 0.500 0.141
0.242 0.000 0.462
0.310 0.000 0.830
0.500 0.500 0.000
0.690 0.000 0.170
0.758 0.000 0.538
0.812 0.500 0.859
```


2.
Structure and simulated powder diffraction line list of SmGa12Cu4 (DFT lattice parameters and positions (GGA-PBE); Cu Ka).
Kinematic intensities with the Lorentz-polarization factor, no thermal factor.

Largest 6 diffraction maxima, low angle first, 15 to 90 degrees two-theta:
two_theta, I_rel
32.86, 100
39.10, 50
47.15, 16
51.97, 34
54.27, 34
74.69, 16

Crystal structure
```
SmGa12Cu4
1.0
-4.310 4.310 4.310
4.310 -4.310 4.310
4.310 4.310 -4.310
Sm Ga Cu
1 12 4
Direct
0.000 0.000 0.000
0.158 0.505 0.347
0.158 0.811 0.653
0.189 0.347 0.842
0.347 0.158 0.505
0.347 0.842 0.189
0.495 0.653 0.842
0.505 0.347 0.158
0.653 0.158 0.811
0.653 0.842 0.495
0.811 0.653 0.158
0.842 0.189 0.347
0.842 0.495 0.653
0.000 0.000 0.500
0.000 0.500 0.000
0.500 0.000 0.000
0.500 0.500 0.500
```


3.
Structure and simulated powder diffraction line list of InCu6S4 (DFT lattice parameters and positions (GGA-PBE); Cu Ka).
Kinematic intensities with the Lorentz-polarization factor, no thermal factor.

Largest 6 diffraction maxima, low angle first, 15 to 90 degrees two-theta:
two_theta, I_rel
29.36, 100
33.28, 45
35.72, 33
44.31, 37
46.52, 59
55.94, 26

Crystal structure
```
InCu6S4
1.0
2.761 -2.760 0.000
2.761 2.760 0.000
-2.728 0.000 12.157
In Cu S
1 6 4
Direct
0.000 0.000 0.000
0.129 0.629 0.256
0.250 0.750 0.500
0.371 0.871 0.744
0.629 0.129 0.256
0.750 0.250 0.500
0.871 0.371 0.744
0.195 0.195 0.388
0.419 0.419 0.841
0.581 0.581 0.159
0.805 0.805 0.612
```